No. 1
Diffraction record for Cs4K3AgF8. The powder X-ray diffraction pattern is theoretical, not measured: it uses a GGA-PBE-relaxed structure and a wavelength of 1.5418 Å.

Cell and atoms:
```
data_Cs4K3AgF8
_cell_length_a 8.094
_cell_length_b 8.094
_cell_length_c 8.055
_cell_angle_alpha 119.83
_cell_angle_beta 119.83
_cell_angle_gamma 59.16
_space_group_name_H-M_alt 'P 1'
_space_group_IT_number 1
_space_group_name_Hall 'P 1'
loop_
_atom_site_label
_atom_site_fract_x
_atom_site_fract_y
_atom_site_fract_z
_atom_site_occupancy
Cs1 0.000 0.000 0.000 1
Cs2 0.000 0.500 0.500 1
Cs3 0.500 0.000 0.500 1
Cs4 0.500 0.500 0.000 1
K1 0.000 0.000 0.500 1
K2 0.000 0.500 0.000 1
K3 0.500 0.000 0.000 1
Ag1 0.500 0.500 0.500 1
F1 0.240 0.240 0.761 1
F2 0.252 0.252 0.231 1
F3 0.252 0.730 0.271 1
F4 0.270 0.748 0.729 1
F5 0.730 0.252 0.271 1
F6 0.748 0.270 0.729 1
F7 0.748 0.748 0.769 1
F8 0.760 0.760 0.239 1
```

Most intense lines, 2θ from 10° to 80°, by intensity:
Position (°2θ)	intensity
31.54	100
44.79	71
26.99	66
27.14	63
30.98	53
13.41	35
53.36	21
52.75	21

---

No. 2
Diffraction record for CsMgAgF4. The powder X-ray diffraction pattern is theoretical, not measured: it uses a GGA-PBE-relaxed structure and a wavelength of 1.5418 Å.

Cell and atoms:
```
data_CsMgAgF4
_cell_length_a 5.747
_cell_length_b 6.222
_cell_length_c 7.939
_cell_angle_alpha 90.00
_cell_angle_beta 102.20
_cell_angle_gamma 90.00
_space_group_name_H-M_alt 'P 1'
_space_group_IT_number 1
_space_group_name_Hall 'P 1'
loop_
_atom_site_label
_atom_site_fract_x
_atom_site_fract_y
_atom_site_fract_z
_atom_site_occupancy
Cs1 0.173 0.250 0.110 1
Cs2 0.827 0.750 0.890 1
Mg1 0.372 0.250 0.686 1
Mg2 0.628 0.750 0.314 1
Ag1 0.154 0.750 0.480 1
Ag2 0.846 0.250 0.520 1
F1 0.160 0.021 0.710 1
F2 0.160 0.479 0.710 1
F3 0.338 0.750 0.153 1
F4 0.423 0.250 0.459 1
F5 0.577 0.750 0.541 1
F6 0.662 0.250 0.847 1
F7 0.840 0.521 0.290 1
F8 0.840 0.979 0.290 1
```

Most intense lines, 2θ from 10° to 80°, by intensity:
Position (°2θ)	intensity
25.79	100
34.72	83
28.69	69
27.09	48
24.99	46
28.87	44
48.58	38
15.78	38